Structure and theoretical powder diffractogram of Th5Mn2 (a structure optimized by DFT (GGA-PBE); Cu Kα).

Peak list (10 most intense, 10 to 80 degrees two-theta, in order of falling intensity)
2θ 30.60, d = 2.921 Å, I 100
2θ 32.49, d = 2.756 Å, I 55
2θ 31.06, d = 2.879 Å, I 53
2θ 34.15, d = 2.625 Å, I 47
2θ 53.80, d = 1.704 Å, I 33
2θ 29.17, d = 3.061 Å, I 31
2θ 52.84, d = 1.733 Å, I 29
2θ 32.66, d = 2.742 Å, I 28
2θ 40.28, d = 2.239 Å, I 21
2θ 33.87, d = 2.646 Å, I 20

Structural model:
```
Th5Mn2
1.0
8.2580 -3.1530 0.0000
8.2580 3.1530 0.0000
-0.4597 0.0000 7.0657
Th Mn
10 4
Cartesian
7.9132 2.6429 5.2992
3.3600 0.4138 2.4002
3.1302 -0.4138 5.9330
6.6614 0.5846 0.6969
6.4315 -0.5846 4.2297
9.6247 0.5846 2.8360
9.3949 -0.5846 6.3688
12.9261 0.4138 1.1327
12.6962 -0.4138 4.6655
8.1430 -2.6429 1.7664
6.3127 1.8476 2.8841
9.9734 1.8476 0.6487
6.0828 -1.8476 6.4170
9.7436 -1.8476 4.1815
```